Structure and computed X-ray diffraction stick pattern of Sc2CdMo (a GGA-PBE-relaxed structure; Cu Ka).
Lines closer than 0.1° are merged.

Structural model:
a = 3.264 Å, b = 3.449 Å, c = 7.230 Å
α = 90.00°, β = 90.12°, γ = 90.00°
Space group P2/m (No. 10)
Asymmetric unit:
Sc 0.000 0.000 0.219 x2
Cd 0.500 0.500 0.500 x1
Mo 0.500 0.500 0.000 x1

Most intense lines, 10° ≤ 2θ ≤ 90°, in order of rising 2θ:
24.63°, I 26, hkl 0 0 2; 25.83°, I 20, hkl 0 1 0; 27.32°, I 18, hkl 1 0 0; 35.99°, I 100, hkl 0 1 2; 37.11°, I 92, hkl 1 0 2; 37.95°, I 90, hkl 1 1 0; 45.77°, I 20, hkl 1 1 2; 50.49°, I 16, hkl 0 0 4; 53.11°, I 16, hkl 0 2 0; 66.56°, I 30, hkl 1 2 2